Diffraction record for LiMnO2. The powder diffraction line list is computed, not measured: it uses a PBE+U-relaxed structure and copper Kα.
Neutral-atom scattering factors, no anomalous dispersion.

Peak list (10 most intense, 2θ = 10–80°, low angle first)
index  two_theta  I_rel
1 0 1  18.21  93
0 0 2  18.23  97
0 1 -1  20.84  56
1 1 2  21.37  51
0 0 4  36.93  33
0 2 -2  42.42  100
2 0 -2  42.67  100
2 2 4  43.52  94
2 -2 0  61.92  27
2 4 2  62.33  52

Structure:
Cell: 5.9584 5.9619 10.2406 Å, 74.57 74.20 60.38°
Element x y z (fractional)
Li 0.0000 0.0000 0.0000
Li 0.2366 0.7394 0.7499
Li 0.2392 0.2198 0.7659
Li 0.2504 0.2574 0.2485
Li 0.5000 0.5000 0.5000
Li 0.7496 0.7426 0.7515
Li 0.7608 0.7802 0.2341
Li 0.7634 0.2606 0.2501
Mn 0.0000 0.0000 0.5000
Mn 0.0000 0.5000 0.0000
Mn 0.0000 0.5000 0.5000
Mn 0.2612 0.7498 0.2495
Mn 0.5000 0.0000 0.0000
Mn 0.5000 0.0000 0.5000
Mn 0.5000 0.5000 0.0000
Mn 0.7388 0.2502 0.7505
O 0.1053 0.6521 0.6050
O 0.1090 0.1037 0.6298
O 0.1398 0.1422 0.1109
O 0.1455 0.6252 0.1231
O 0.3491 0.8854 0.3854
O 0.3587 0.3605 0.3919
O 0.3700 0.3788 0.8608
O 0.3919 0.8527 0.8925
O 0.6081 0.1473 0.1075
O 0.6300 0.6212 0.1392
O 0.6413 0.6395 0.6081
O 0.6509 0.1146 0.6146
O 0.8545 0.3748 0.8769
O 0.8602 0.8578 0.8891
O 0.8910 0.8963 0.3702
O 0.8947 0.3479 0.3950